Entry 1:
Structure and simulated X-ray diffraction stick pattern of V6Sn4F19 (a PBE+U-relaxed structure; Cu Kα (λ = 1.5418 Å)).
Peak positions follow from Bragg's law for the DFT cell and can differ from measured ones.

The 10 most intense peaks (2θ = 5–70°), in order of rising 2θ:
2θ/deg  intensity
22.4  100.0
29.1  58.0
31.9  24.4
34.6  22.6
39.4  64.7
45.8  19.4
47.8  31.4
51.6  36.7
56.9  29.8
62.0  10.7

Cell and atoms:
```
V6Sn4F19
1.0
-4.854 4.854 4.854
4.854 -4.854 4.854
4.854 4.854 -4.854
V Sn F
6 4 19
direct
0.160 0.660 0.500
0.340 0.500 0.840
0.500 0.160 0.660
0.500 0.840 0.340
0.660 0.500 0.160
0.840 0.340 0.500
0.000 0.000 0.692
0.000 0.692 0.000
0.308 0.308 0.308
0.692 0.000 0.000
0.000 0.000 0.000
0.000 0.347 0.347
0.000 0.653 0.653
0.039 0.310 0.702
0.271 0.961 0.663
0.298 0.609 0.337
0.310 0.702 0.039
0.337 0.298 0.609
0.347 0.000 0.347
0.347 0.347 0.000
0.391 0.690 0.729
0.609 0.337 0.298
0.653 0.000 0.653
0.653 0.653 0.000
0.663 0.271 0.961
0.690 0.729 0.391
0.702 0.039 0.310
0.729 0.391 0.690
0.961 0.663 0.271
```

=====

Entry 2:
Structure and simulated X-ray diffraction stick pattern of VSnF5 (a PBE+U-relaxed structure; Cu Kα (λ = 1.5418 Å)).
Peak positions follow from Bragg's law for the DFT cell and can differ from measured ones.

The 10 most intense peaks (2θ = 5–70°), in order of rising 2θ:
2θ/deg  intensity
20.9  92.6
25.5  100.0
25.9  55.8
33.2  32.6
35.8  35.9
42.4  25.9
44.6  23.1
45.5  28.8
47.2  22.0
50.2  28.8

Cell and atoms:
```
VSnF5
1.0
4.060 0.000 0.000
0.000 6.873 0.000
0.000 0.000 8.520
V Sn F
2 2 10
direct
0.000 0.000 0.000
0.500 0.500 0.500
0.000 0.000 0.500
0.500 0.500 0.000
0.000 0.000 0.228
0.000 0.000 0.772
0.000 0.288 0.000
0.000 0.500 0.500
0.000 0.712 0.000
0.500 0.000 0.000
0.500 0.212 0.500
0.500 0.500 0.272
0.500 0.500 0.728
0.500 0.788 0.500
```

=====

Entry 3:
Structure and simulated X-ray diffraction stick pattern of VSn2F6 (a PBE+U-relaxed structure; Cu Kα (λ = 1.5418 Å)).
Peak positions follow from Bragg's law for the DFT cell and can differ from measured ones.

The 10 most intense peaks (2θ = 5–70°), in order of rising 2θ:
2θ/deg  intensity
22.0  100.0
22.5  31.6
27.4  83.1
29.0  44.3
29.6  43.3
30.4  29.6
34.7  29.8
42.1  28.6
46.9  46.9
51.2  27.7

Cell and atoms:
```
VSn2F6
1.0
4.849 -6.034 0.000
4.849 6.034 0.000
-0.908 0.000 5.239
V Sn F
2 4 12
direct
0.077 0.923 0.750
0.923 0.077 0.250
0.219 0.457 0.890
0.457 0.219 0.390
0.543 0.781 0.610
0.781 0.543 0.110
0.068 0.176 0.618
0.069 0.663 0.858
0.176 0.068 0.118
0.303 0.523 0.522
0.337 0.931 0.642
0.477 0.697 0.978
0.523 0.303 0.022
0.663 0.069 0.358
0.697 0.477 0.478
0.824 0.932 0.882
0.931 0.337 0.142
0.932 0.824 0.382
```

=====

Copy entry 1 word for word.
Structure and simulated X-ray diffraction stick pattern of V6Sn4F19 (a PBE+U-relaxed structure; Cu Kα (λ = 1.5418 Å)).
Peak positions follow from Bragg's law for the DFT cell and can differ from measured ones.

The 10 most intense peaks (2θ = 5–70°), in order of rising 2θ:
2θ/deg  intensity
22.4  100.0
29.1  58.0
31.9  24.4
34.6  22.6
39.4  64.7
45.8  19.4
47.8  31.4
51.6  36.7
56.9  29.8
62.0  10.7

Cell and atoms:
```
V6Sn4F19
1.0
-4.854 4.854 4.854
4.854 -4.854 4.854
4.854 4.854 -4.854
V Sn F
6 4 19
direct
0.160 0.660 0.500
0.340 0.500 0.840
0.500 0.160 0.660
0.500 0.840 0.340
0.660 0.500 0.160
0.840 0.340 0.500
0.000 0.000 0.692
0.000 0.692 0.000
0.308 0.308 0.308
0.692 0.000 0.000
0.000 0.000 0.000
0.000 0.347 0.347
0.000 0.653 0.653
0.039 0.310 0.702
0.271 0.961 0.663
0.298 0.609 0.337
0.310 0.702 0.039
0.337 0.298 0.609
0.347 0.000 0.347
0.347 0.347 0.000
0.391 0.690 0.729
0.609 0.337 0.298
0.653 0.000 0.653
0.653 0.653 0.000
0.663 0.271 0.961
0.690 0.729 0.391
0.702 0.039 0.310
0.729 0.391 0.690
0.961 0.663 0.271
```

=====

Q: Which formula does entry 3 have?
A: VSn2F6